Structure and simulated powder X-ray diffraction pattern of SiAgB (a cell relaxed with PBE; a wavelength of 1.5418 Å).

Top 10 peaks for 10° ≤ 2θ ≤ 90°, most intense first:
33.0°, rel. 100.0
44.7°, rel. 83.3
29.2°, rel. 71.8
20.2°, rel. 50.3
25.8°, rel. 45.5
35.8°, rel. 36.4
41.1°, rel. 33.5
39.4°, rel. 29.3
51.2°, rel. 28.2
58.2°, rel. 17.5

Crystal structure
Lattice parameters (Å, degrees): 3.4532 4.3963 6.1086 90.00 90.00 90.00
Space group P2/m (No. 10)
Symmetry-distinct sites (fractional):
Si 0.0000 0.0000 0.1927 (multiplicity 2)
Ag 0.4981 0.5000 0.7506 (multiplicity 2)
B 0.5000 0.0000 0.3625 (multiplicity 2)